Diffraction record for CoTeMoO6. The powder XRD pattern is theoretical, not measured: it uses DFT lattice parameters and positions (GGA+U) and copper Kα.
Neutral-atom scattering factors, no anomalous dispersion.

The 6 most intense peaks (10 to 80 degrees two-theta), most intense first:
2theta, intensity, (hkl)
31.03, 100, 1 1 2
24.11, 40, 1 1 0
26.01, 36, 1 0 2
49.39, 27, 2 2 0
19.24, 26, 0 0 2
33.60, 18, 0 2 0

Structural model:
```
data_CoTeMoO6
_symmetry_space_group_name_H-M 'P 21 21 2'
_symmetry_Int_Tables_number 18
_cell_length_a 5.1107
_cell_length_b 5.3367
_cell_length_c 9.2241
_cell_angle_alpha 90.00
_cell_angle_beta 90.00
_cell_angle_gamma 90.00
loop_
_symmetry_equiv_pos_as_xyz
'x,y,z'
'-x,-y,z'
'x+1/2,-y+1/2,-z'
'-x+1/2,y+1/2,-z'
loop_
_atom_site_label
_atom_site_fract_x
_atom_site_fract_y
_atom_site_fract_z
Co1 0.0000 0.0000 0.0275
Te1 0.0000 0.5000 0.2387
Mo1 0.0000 0.5000 0.6991
O1 0.1563 0.2881 0.5852
O2 0.2204 0.6772 0.1035
O3 0.2384 0.1815 0.2002
```